Structure and calculated PXRD pattern of K3InAu2 (a GGA-PBE-relaxed structure; λ = 1.5418 Å (Cu Kα)).

Peak list (10 most intense, 10 to 80 degrees two-theta, in order of rising 2θ)
10.53°, intensity 37, hkl 1 0 0; 17.91°, intensity 79, hkl 0 0 2; 20.16°, intensity 61, hkl 1 1 -2; 21.75°, intensity 71, hkl 1 2 -1; 24.18°, intensity 34, hkl 1 2 1; 29.59°, intensity 33, hkl 1 3 0; 30.61°, intensity 32, hkl 2 1 -3; 31.95°, intensity 100, hkl 1 2 -3; 33.06°, intensity 81, hkl 2 1 2; 33.19°, intensity 41, hkl 3 1 -2

Crystal structure
```
data_K3InAu2
_chemical_formula_sum 'K12 In4 Au8'
_symmetry_space_group_name_H-M 'P 1 21/c 1'
_symmetry_Int_Tables_number 14
_symmetry_space_group_name_Hall '-P 2ybc'
_cell_length_a 8.7790
_cell_length_b 9.7047
_cell_length_c 10.3491
_cell_angle_alpha 90.00
_cell_angle_beta 106.84
_cell_angle_gamma 90.00
loop_
_atom_site_label
_atom_site_type_symbol
_atom_site_fract_x
_atom_site_fract_y
_atom_site_fract_z
_atom_site_occupancy
K1 K 0.1753 0.0829 0.1097 1
K2 K 0.2244 0.0914 0.4814 1
K3 K 0.2649 0.7409 0.3544 1
In1 In 0.4368 0.0881 0.8494 1
Au1 Au 0.0972 0.0963 0.7699 1
Au2 Au 0.4856 0.6318 0.1785 1
```

Structure and calculated PXRD pattern of K6InAu3 (a GGA-PBE-relaxed structure; λ = 1.5418 Å (Cu Kα)).

Peak list (10 most intense, 10 to 80 degrees two-theta, in order of rising 2θ)
15.93°, intensity 100, hkl 1 1 -1; 17.97°, intensity 28, hkl 2 0 -2; 26.46°, intensity 28, hkl 0 2 0; 28.33°, intensity 12, hkl 3 0 -4; 30.22°, intensity 34, hkl 3 1 -3; 32.17°, intensity 25, hkl 2 2 -2; 32.66°, intensity 12, hkl 0 0 4; 36.48°, intensity 24, hkl 1 1 3; 36.59°, intensity 28, hkl 1 1 -5; 53.56°, intensity 15, hkl 1 3 -5

Crystal structure
```
data_K6InAu3
_chemical_formula_sum 'K12 In2 Au6'
_symmetry_space_group_name_H-M 'P 1 21/c 1'
_symmetry_Int_Tables_number 14
_symmetry_space_group_name_Hall '-P 2ybc'
_cell_length_a 9.8731
_cell_length_b 6.7367
_cell_length_c 14.7181
_cell_angle_alpha 90.00
_cell_angle_beta 131.83
_cell_angle_gamma 90.00
loop_
_atom_site_label
_atom_site_type_symbol
_atom_site_fract_x
_atom_site_fract_y
_atom_site_fract_z
_atom_site_occupancy
K1 K 0.0013 0.2498 0.2531 1
K2 K 0.2444 0.0005 0.1055 1
K3 K 0.4132 0.5022 0.0807 1
In1 In 0.5000 0.0000 0.0000 1
Au1 Au 0.0000 0.0000 0.5000 1
Au2 Au 0.2938 0.0025 0.7505 1
```

Structure and calculated PXRD pattern of K3InAu5 (a GGA-PBE-relaxed structure; λ = 1.5418 Å (Cu Kα)).

Peak list (10 most intense, 10 to 80 degrees two-theta, in order of rising 2θ)
16.87°, intensity 73, hkl 0 3 1; 18.79°, intensity 100, hkl 1 0 1; 32.94°, intensity 50, hkl 1 6 1; 34.11°, intensity 60, hkl 0 6 2; 38.11°, intensity 47, hkl 2 0 2; 39.21°, intensity 21, hkl 2 2 2; 40.48°, intensity 29, hkl 2 5 1; 41.91°, intensity 36, hkl 0 8 2; 48.68°, intensity 25, hkl 2 8 0; 60.95°, intensity 21, hkl 2 6 4

Crystal structure
```
data_K3InAu5
_chemical_formula_sum 'K12 In4 Au20'
_symmetry_space_group_name_H-M 'I m m a'
_symmetry_Int_Tables_number 74
_symmetry_space_group_name_Hall '-I 2b 2'
_cell_length_a 5.6558
_cell_length_b 19.9542
_cell_length_c 8.5808
_cell_angle_alpha 90.00
_cell_angle_beta 90.00
_cell_angle_gamma 90.00
loop_
_atom_site_label
_atom_site_type_symbol
_atom_site_fract_x
_atom_site_fract_y
_atom_site_fract_z
_atom_site_occupancy
K1 K 0.0000 0.0862 0.1213 1
K2 K 0.0000 0.2500 0.8808 1
In1 In 0.0000 0.2500 0.3338 1
Au1 Au 0.0000 0.0000 0.5000 1
Au2 Au 0.0000 0.1456 0.5354 1
Au3 Au 0.2500 0.0638 0.7500 1
```

Structure and calculated PXRD pattern of KIn4Au2 (a GGA-PBE-relaxed structure; λ = 1.5418 Å (Cu Kα)).

Peak list (10 most intense, 10 to 80 degrees two-theta, in order of rising 2θ)
18.88°, intensity 75, hkl 0 0 1; 28.88°, intensity 18, hkl 0 4 1; 31.00°, intensity 76, hkl 1 3 1; 36.63°, intensity 42, hkl 2 0 0; 38.12°, intensity 100, hkl 1 5 1; 38.29°, intensity 37, hkl 0 0 2; 43.01°, intensity 20, hkl 1 1 2; 54.03°, intensity 27, hkl 2 0 2; 58.68°, intensity 20, hkl 2 8 0; 69.12°, intensity 17, hkl 1 5 3

Crystal structure
```
data_KIn4Au2
_chemical_formula_sum 'K2 In8 Au4'
_symmetry_space_group_name_H-M 'C m m m'
_symmetry_Int_Tables_number 65
_symmetry_space_group_name_Hall '-C 2 2'
_cell_length_a 4.9070
_cell_length_b 16.4185
_cell_length_c 4.7010
_cell_angle_alpha 90.00
_cell_angle_beta 90.00
_cell_angle_gamma 90.00
loop_
_atom_site_label
_atom_site_type_symbol
_atom_site_fract_x
_atom_site_fract_y
_atom_site_fract_z
_atom_site_occupancy
K1 K 0.0000 0.0000 0.0000 1
In1 In 0.0000 0.1751 0.5000 1
In2 In 0.0000 0.3151 0.0000 1
Au1 Au 0.0000 0.4159 0.5000 1
```

Structure and calculated PXRD pattern of K3In2Au7 (a GGA-PBE-relaxed structure; λ = 1.5418 Å (Cu Kα)).

Peak list (10 most intense, 10 to 80 degrees two-theta, in order of rising 2θ)
17.46°, intensity 100, hkl 1 0 1; 18.99°, intensity 37, hkl 0 0 6; 34.89°, intensity 39, hkl 0 2 1; 35.34°, intensity 28, hkl 2 0 2; 35.72°, intensity 93, hkl 1 1 6; 38.38°, intensity 79, hkl 2 0 5; 38.53°, intensity 40, hkl 0 0 12; 41.61°, intensity 55, hkl 0 2 7; 62.27°, intensity 33, hkl 2 2 0; 75.64°, intensity 45, hkl 2 2 12

Crystal structure
```
data_K3In2Au7
_chemical_formula_sum 'K9 In6 Au21'
_symmetry_space_group_name_H-M 'R -3 m'
_symmetry_Int_Tables_number 166
_symmetry_space_group_name_Hall '-R 3 2"'
_cell_length_a 5.9636
_cell_length_b 5.9636
_cell_length_c 28.0412
_cell_angle_alpha 90.00
_cell_angle_beta 90.00
_cell_angle_gamma 120.00
loop_
_atom_site_label
_atom_site_type_symbol
_atom_site_fract_x
_atom_site_fract_y
_atom_site_fract_z
_atom_site_occupancy
K1 K 0.0000 0.0000 0.0000 1
K2 K 0.0000 0.0000 0.1428 1
In1 In 0.0000 0.0000 0.3312 1
Au1 Au 0.0000 0.0000 0.5000 1
Au2 Au 0.0030 0.5015 0.0825 1
```

Structure and calculated PXRD pattern of KInAu (a GGA-PBE-relaxed structure; λ = 1.5418 Å (Cu Kα)).

Peak list (10 most intense, 10 to 80 degrees two-theta, in order of rising 2θ)
14.38°, intensity 100, hkl 0 0 2; 31.99°, intensity 78, hkl 1 0 3; 33.16°, intensity 63, hkl 1 1 0; 36.31°, intensity 45, hkl 1 1 2; 43.71°, intensity 32, hkl 1 0 5; 44.61°, intensity 20, hkl 1 1 4; 47.60°, intensity 23, hkl 2 0 0; 57.65°, intensity 24, hkl 1 0 7; 58.50°, intensity 27, hkl 2 1 3; 77.91°, intensity 20, hkl 2 1 7

Crystal structure
```
data_KInAu
_chemical_formula_sum 'K2 In2 Au2'
_symmetry_space_group_name_H-M 'I 4 m m'
_symmetry_Int_Tables_number 107
_symmetry_space_group_name_Hall 'I 4 -2'
_cell_length_a 3.8210
_cell_length_b 3.8210
_cell_length_c 12.3230
_cell_angle_alpha 90.00
_cell_angle_beta 90.00
_cell_angle_gamma 90.00
loop_
_atom_site_label
_atom_site_type_symbol
_atom_site_fract_x
_atom_site_fract_y
_atom_site_fract_z
_atom_site_occupancy
K1 K 0.0000 0.0000 0.0000 1
In1 In 0.0000 0.0000 0.7163 1
Au1 Au 0.0000 0.0000 0.2973 1
```

Structure and calculated PXRD pattern of K2In7Au12 (a GGA-PBE-relaxed structure; λ = 1.5418 Å (Cu Kα)).

Peak list (10 most intense, 10 to 80 degrees two-theta, in order of rising 2θ)
16.67°, intensity 49, hkl 1 1 0; 30.90°, intensity 100, hkl 1 2 1; 33.72°, intensity 23, hkl 2 2 0; 38.50°, intensity 20, hkl 1 1 2; 39.29°, intensity 35, hkl 3 1 1; 39.77°, intensity 30, hkl 0 2 2; 42.80°, intensity 23, hkl 2 3 0; 42.95°, intensity 30, hkl 4 0 1; 43.40°, intensity 22, hkl 3 -1 2; 46.38°, intensity 24, hkl 5 -2 1

Crystal structure
```
data_K2In7Au12
_chemical_formula_sum 'K2 In7 Au12'
_symmetry_space_group_name_H-M 'P -3'
_symmetry_Int_Tables_number 147
_symmetry_space_group_name_Hall '-P 3'
_cell_length_a 10.6335
_cell_length_b 10.6335
_cell_length_c 5.2077
_cell_angle_alpha 90.00
_cell_angle_beta 90.00
_cell_angle_gamma 120.00
loop_
_atom_site_label
_atom_site_type_symbol
_atom_site_fract_x
_atom_site_fract_y
_atom_site_fract_z
_atom_site_occupancy
K1 K 0.3333 0.6667 0.2879 1
In1 In 0.0000 0.0000 0.5000 1
In2 In 0.1031 0.3806 0.8571 1
Au1 Au 0.0605 0.6072 0.7051 1
Au2 Au 0.1431 0.2915 0.3465 1
```

Structure and calculated PXRD pattern of KIn2Au (a GGA-PBE-relaxed structure; λ = 1.5418 Å (Cu Kα)).

Peak list (10 most intense, 10 to 80 degrees two-theta, in order of rising 2θ)
11.14°, intensity 100, hkl 0 0 1; 17.81°, intensity 43, hkl 0 1 1; 23.67°, intensity 28, hkl 1 1 0; 26.23°, intensity 28, hkl 1 1 1; 26.41°, intensity 24, hkl 0 1 2; 33.85°, intensity 37, hkl 0 0 3; 35.92°, intensity 98, hkl 1 2 1; 38.76°, intensity 31, hkl 2 0 0; 41.12°, intensity 60, hkl 1 2 2; 52.39°, intensity 21, hkl 2 0 3

Crystal structure
```
data_KIn2Au
_chemical_formula_sum 'K2 In4 Au2'
_symmetry_space_group_name_H-M 'P m m n'
_symmetry_Int_Tables_number 59
_cell_length_a 4.6467
_cell_length_b 6.3948
_cell_length_c 7.9448
_cell_angle_alpha 90.00
_cell_angle_beta 90.00
_cell_angle_gamma 90.00
loop_
_symmetry_equiv_pos_as_xyz
'x,y,z'
'-x,-y,-z'
'-x+1/2,-y+1/2,z'
'x+1/2,y+1/2,-z'
'x+1/2,-y,-z'
'-x+1/2,y,z'
'-x,y+1/2,-z'
'x,-y+1/2,z'
loop_
_atom_site_label
_atom_site_type_symbol
_atom_site_fract_x
_atom_site_fract_y
_atom_site_fract_z
_atom_site_occupancy
K1 K 0.2500 0.2500 0.0620 1
In1 In 0.2500 0.5081 0.6450 1
Au1 Au 0.2500 0.7500 0.3238 1
```

Structure and calculated PXRD pattern of K6Rb2InAu (a GGA-PBE-relaxed structure; λ = 1.5418 Å (Cu Kα)).

Peak list (10 most intense, 10 to 80 degrees two-theta, in order of rising 2θ)
12.96°, intensity 34, hkl 1 1 0; 18.36°, intensity 100, hkl 2 0 0; 26.08°, intensity 73, hkl 2 2 0; 29.23°, intensity 20, hkl 3 1 0; 32.09°, intensity 52, hkl 3 1 2; 37.21°, intensity 46, hkl 2 2 4; 41.81°, intensity 26, hkl 4 2 0; 46.02°, intensity 20, hkl 4 0 4; 49.92°, intensity 21, hkl 3 1 6; 60.59°, intensity 21, hkl 4 4 4

Crystal structure
```
data_K6Rb2InAu
_chemical_formula_sum 'K12 Rb4 In2 Au2'
_symmetry_space_group_name_H-M 'I m m m'
_symmetry_Int_Tables_number 71
_symmetry_space_group_name_Hall '-I 2 2'
_cell_length_a 9.6464
_cell_length_b 9.6760
_cell_length_c 13.6682
_cell_angle_alpha 90.00
_cell_angle_beta 90.00
_cell_angle_gamma 90.00
loop_
_atom_site_label
_atom_site_type_symbol
_atom_site_fract_x
_atom_site_fract_y
_atom_site_fract_z
_atom_site_occupancy
K1 K 0.0000 0.0000 0.2433 1
K2 K 0.2434 0.2435 0.0000 1
Rb1 Rb 0.0000 0.5000 0.2499 1
In1 In 0.0000 0.0000 0.5000 1
Au1 Au 0.0000 0.0000 0.0000 1
```

Structure and calculated PXRD pattern of K2In4Sn3Au (a GGA-PBE-relaxed structure; λ = 1.5418 Å (Cu Kα)).

Peak list (10 most intense, 10 to 80 degrees two-theta, in order of rising 2θ)
14.77°, intensity 56, hkl 0 0 2; 18.96°, intensity 47, hkl 1 0 1; 28.39°, intensity 39, hkl 1 0 3; 28.96°, intensity 100, hkl 1 1 2; 35.31°, intensity 85, hkl 2 0 0; 38.47°, intensity 23, hkl 2 0 2; 39.11°, intensity 93, hkl 1 1 4; 50.80°, intensity 30, hkl 2 2 0; 59.54°, intensity 26, hkl 3 1 2; 65.93°, intensity 40, hkl 3 1 4

Crystal structure
```
data_K2In4Sn3Au
_chemical_formula_sum 'K2 In4 Sn3 Au1'
_symmetry_space_group_name_H-M 'P -4 m 2'
_symmetry_Int_Tables_number 115
_symmetry_space_group_name_Hall 'P -4 -2'
_cell_length_a 5.0833
_cell_length_b 5.0833
_cell_length_c 11.9985
_cell_angle_alpha 90.00
_cell_angle_beta 90.00
_cell_angle_gamma 90.00
loop_
_atom_site_label
_atom_site_type_symbol
_atom_site_fract_x
_atom_site_fract_y
_atom_site_fract_z
_atom_site_occupancy
K1 K 0.0000 0.5000 0.2397 1
In1 In 0.0000 0.0000 0.5000 1
In2 In 0.0000 0.5000 0.8799 1
In3 In 0.5000 0.5000 0.5000 1
Sn1 Sn 0.0000 0.0000 0.0000 1
Sn2 Sn 0.0000 0.5000 0.6363 1
Au1 Au 0.5000 0.5000 0.0000 1
```

Structure and calculated PXRD pattern of K2InSnAu2 (a GGA-PBE-relaxed structure; λ = 1.5418 Å (Cu Kα)).

Peak list (10 most intense, 10 to 80 degrees two-theta, in order of rising 2θ)
12.15°, intensity 100, hkl 0 2 0; 21.25°, intensity 64, hkl 1 2 1; 30.14°, intensity 61, hkl 1 4 1; 34.88°, intensity 25, hkl 2 4 0; 35.14°, intensity 85, hkl 2 0 2; 37.33°, intensity 29, hkl 2 2 2; 44.90°, intensity 19, hkl 2 6 0; 45.08°, intensity 19, hkl 0 6 2; 46.79°, intensity 18, hkl 3 4 1; 47.14°, intensity 18, hkl 1 4 3

Crystal structure
```
data_K2InSnAu2
_chemical_formula_sum 'K8 In4 Sn4 Au8'
_symmetry_space_group_name_H-M 'I b a m'
_symmetry_Int_Tables_number 72
_symmetry_space_group_name_Hall '-I 2 2c'
_cell_length_a 7.2646
_cell_length_b 14.5687
_cell_length_c 7.1767
_cell_angle_alpha 90.00
_cell_angle_beta 90.00
_cell_angle_gamma 90.00
loop_
_atom_site_label
_atom_site_type_symbol
_atom_site_fract_x
_atom_site_fract_y
_atom_site_fract_z
_atom_site_occupancy
K1 K 0.2491 0.1814 0.0000 1
In1 In 0.0000 0.0000 0.2500 1
Sn1 Sn 0.0000 0.5000 0.2500 1
Au1 Au 0.2484 0.4154 0.0000 1
```

Structure and calculated PXRD pattern of K2ZnInAu2 (a GGA-PBE-relaxed structure; λ = 1.5418 Å (Cu Kα)).

Peak list (10 most intense, 10 to 80 degrees two-theta, in order of rising 2θ)
13.13°, intensity 100, hkl 0 2 0; 21.80°, intensity 46, hkl 1 2 1; 23.31°, intensity 13, hkl 2 0 0; 25.82°, intensity 12, hkl 0 0 2; 31.78°, intensity 73, hkl 1 4 1; 35.06°, intensity 53, hkl 2 0 2; 37.59°, intensity 33, hkl 2 2 2; 46.62°, intensity 21, hkl 3 4 1; 46.91°, intensity 12, hkl 2 6 0; 49.43°, intensity 21, hkl 1 4 3

Crystal structure
```
data_K2ZnInAu2
_chemical_formula_sum 'K8 Zn4 In4 Au8'
_symmetry_space_group_name_H-M 'I b a m'
_symmetry_Int_Tables_number 72
_symmetry_space_group_name_Hall '-I 2 2c'
_cell_length_a 7.6325
_cell_length_b 13.4873
_cell_length_c 6.9006
_cell_angle_alpha 90.00
_cell_angle_beta 90.00
_cell_angle_gamma 90.00
loop_
_atom_site_label
_atom_site_type_symbol
_atom_site_fract_x
_atom_site_fract_y
_atom_site_fract_z
_atom_site_occupancy
K1 K 0.2062 0.1838 0.0000 1
Zn1 Zn 0.0000 0.0000 0.2500 1
In1 In 0.0000 0.5000 0.2500 1
Au1 Au 0.2320 0.0677 0.5000 1
```